Record 1
The following is a calculated powder diffraction line list of TaAg2Sb. It was derived from a cell relaxed with GGA-PBE, using copper Kα.
Lines closer than 0.1° are merged.

Principal peaks in the range 2θ from 15° to 90°, sorted by position:
2theta	intensity
17.64	4
35.71	33
36.19	100
41.90	65
60.42	20
61.06	21
72.21	12
72.80	24
73.09	12
76.81	11

Cell and atoms:
a b c (Å): 3.0350 3.0350 30.1694
angles (deg): 90.00 90.00 120.00
Fractional coordinates of all 12 atoms:
1 Ta 0.0000 0.0000 0.0000
2 Ta 0.3333 0.6667 0.6667
3 Ta 0.6667 0.3333 0.3333
4 Ag 0.0000 0.0000 0.2541
5 Ag 0.0000 0.0000 0.7459
6 Ag 0.3333 0.6667 0.4125
7 Ag 0.3333 0.6667 0.9208
8 Ag 0.6667 0.3333 0.0792
9 Ag 0.6667 0.3333 0.5875
10 Sb 0.0000 0.0000 0.5000
11 Sb 0.3333 0.6667 0.1667
12 Sb 0.6667 0.3333 0.8333

---

Record 2
The following is a calculated powder diffraction line list of K2GaAs2. It was derived from a cell relaxed with GGA-PBE, using copper Kα.
Lines closer than 0.1° are merged.

Principal peaks in the range 2θ from 15° to 90°, sorted by position:
2theta	intensity
15.92	36
17.79	100
26.30	24
28.43	28
30.40	69
31.61	24
32.18	32
36.03	38
36.75	24
42.04	24

Cell and atoms:
a b c (Å): 9.0299 14.5676 11.3040
angles (deg): 90.00 118.11 90.00
Fractional coordinates of all 40 atoms:
1 K 0.0073 0.1282 0.4682
2 K 0.0073 0.3718 0.9682
3 K 0.2004 0.6152 0.5228
4 K 0.2004 0.8848 0.0228
5 K 0.4110 0.1295 0.0879
6 K 0.4110 0.3705 0.5879
7 K 0.4769 0.6214 0.9417
8 K 0.4769 0.8786 0.4417
9 K 0.5231 0.1214 0.5583
10 K 0.5231 0.3786 0.0583
11 K 0.5890 0.6295 0.4121
12 K 0.5890 0.8705 0.9121
13 K 0.7996 0.1152 0.9772
14 K 0.7996 0.3848 0.4772
15 K 0.9927 0.6282 0.0318
16 K 0.9927 0.8718 0.5318
17 Ga 0.0038 0.5574 0.7426
18 Ga 0.0038 0.9426 0.2426
19 Ga 0.1543 0.2172 0.2545
20 Ga 0.1543 0.2828 0.7545
21 Ga 0.8457 0.7172 0.2455
22 Ga 0.8457 0.7828 0.7455
23 Ga 0.9962 0.0574 0.7574
24 Ga 0.9962 0.4426 0.2574
25 As 0.1037 0.7152 0.7723
26 As 0.1037 0.7848 0.2723
27 As 0.2155 0.0530 0.2574
28 As 0.2155 0.4470 0.7574
29 As 0.2682 0.0266 0.7756
30 As 0.2682 0.4734 0.2756
31 As 0.3816 0.1831 0.7813
32 As 0.3816 0.3169 0.2813
33 As 0.6184 0.6831 0.7187
34 As 0.6184 0.8169 0.2187
35 As 0.7318 0.5266 0.7244
36 As 0.7318 0.9734 0.2244
37 As 0.7845 0.5530 0.2426
38 As 0.7845 0.9470 0.7426
39 As 0.8963 0.2152 0.7277
40 As 0.8963 0.2848 0.2277

---

Record 3
The following is a calculated powder diffraction line list of Sm2Dy9Y3. It was derived from a cell relaxed with GGA-PBE, using copper Kα.
Lines closer than 0.1° are merged.

Principal peaks in the range 2θ from 15° to 90°, sorted by position:
2theta	intensity
30.23	38
31.48	100
31.74	56
32.29	56
32.40	60
32.69	20
33.31	25
43.09	13
47.08	17
63.64	16

Cell and atoms:
a b c (Å): 6.4348 8.4032 8.8776
angles (deg): 87.75 83.32 71.24
Fractional coordinates of all 14 atoms:
1 Sm 0.0000 0.0000 0.0000
2 Sm 0.1391 0.6474 0.1968
3 Dy 0.0758 0.2485 0.2580
4 Dy 0.1976 0.8979 0.4575
5 Dy 0.2288 0.4455 0.5351
6 Dy 0.3945 0.6548 0.7902
7 Dy 0.5446 0.8556 0.0795
8 Dy 0.6477 0.0534 0.3754
9 Dy 0.8064 0.2462 0.6595
10 Dy 0.8386 0.8107 0.7046
11 Dy 0.9607 0.4611 0.9222
12 Y 0.3550 0.0928 0.7484
13 Y 0.5227 0.2987 0.0406
14 Y 0.6782 0.6000 0.4066

---

Record 4
The following is a calculated powder diffraction line list of TbPm4Er2. It was derived from a cell relaxed with GGA-PBE, using copper Kα.
Lines closer than 0.1° are merged.

Principal peaks in the range 2θ from 15° to 90°, sorted by position:
2theta	intensity
28.64	15
30.30	100
30.86	32
31.57	63
32.28	34
32.44	25
37.19	27
50.64	20
55.40	20
60.87	14

Cell and atoms:
a b c (Å): 12.5094 6.7820 13.4809
angles (deg): 67.07 29.95 82.98
Fractional coordinates of all 14 atoms:
1 Tb 0.0000 0.0000 0.0000
2 Tb 0.2500 0.2500 0.2500
3 Pm 0.1378 0.2875 0.0751
4 Pm 0.1749 0.7504 0.1122
5 Pm 0.2875 0.1378 0.4996
6 Pm 0.3704 0.6155 0.4889
7 Pm 0.6155 0.3704 0.5252
8 Pm 0.7248 0.7611 0.6345
9 Pm 0.7504 0.1749 0.9625
10 Pm 0.7611 0.7248 0.8796
11 Er 0.1967 0.6790 0.3718
12 Er 0.4975 0.8782 0.5710
13 Er 0.6790 0.1967 0.7525
14 Er 0.8782 0.4975 0.0533